Simulated powder XRD pattern of SmDy3Ir3 for Cu Kα, 1.54184 Å, from a structure optimized by DFT (PBE).
Lines closer than 0.1° are merged.

Principal peaks in the range 10° ≤ 2θ ≤ 90°, in order of falling intensity:
2θ 36.8, I = 100; 2θ 37.2, I = 97; 2θ 66.6, I = 36; 2θ 53.3, I = 35; 2θ 66.3, I = 18; 2θ 67.2, I = 17; 2θ 18.2, I = 16; 2θ 18.3, I = 13; 2θ 78.4, I = 11; 2θ 79.2, I = 11

Structural model:
Cell lengths 5.970, 5.970, 5.970 Å; angles 109.71, 109.71, 109.71 degrees
Sites, in units of the cell vectors:
1 Sm 0.000 0.000 0.000
2 Dy 0.000 0.500 0.500
3 Dy 0.500 0.000 0.500
4 Dy 0.500 0.500 0.000
5 Ir 0.000 0.000 0.500
6 Ir 0.000 0.500 0.000
7 Ir 0.500 0.000 0.000